For Sn5AsRh3, a DFT-relaxed cell (PBE, Alexandria) gives the calculated XRD peak list in this record (a wavelength of 1.5418 Å).
Neutral-atom scattering factors, no anomalous dispersion.

Structural model:
abc: 7.2989 7.2989 9.4229
angles: 112.06 112.06 76.98
Element x y z (fractional)
Sn 0.0507 0.0507 0.3574
Sn 0.1129 0.5422 0.3419
Sn 0.2070 0.7930 0.0000
Sn 0.2637 0.2637 0.9833
Sn 0.4578 0.8871 0.6581
Sn 0.5422 0.1129 0.3419
Sn 0.7363 0.7363 0.0167
Sn 0.7930 0.2070 0.0000
Sn 0.8871 0.4578 0.6581
Sn 0.9493 0.9493 0.6426
As 0.4191 0.4191 0.7012
As 0.5809 0.5809 0.2988
Rh 0.1692 0.1692 0.1789
Rh 0.1998 0.1998 0.6779
Rh 0.5000 0.5000 0.0000
Rh 0.5000 0.5000 0.5000
Rh 0.8002 0.8002 0.3221
Rh 0.8308 0.8308 0.8211

The 10 most intense peaks (2θ from 5° to 70°), in order of falling intensity:
2θ (°)	Rel. int.
31.77	100
20.25	58
32.49	47
39.68	47
41.17	42
19.54	41
31.96	40
50.55	37
50.00	36
40.40	31



For ThSn2As2Rh7, a DFT-relaxed cell (PBE, Alexandria) gives the calculated XRD peak list in this record (a wavelength of 1.5418 Å).
Neutral-atom scattering factors, no anomalous dispersion.

Structural model:
abc: 3.9673 3.9673 14.4981
angles: 95.63 95.63 89.80
Element x y z (fractional)
Th 0.0000 0.0000 0.0000
Sn 0.1188 0.1188 0.4013
Sn 0.8812 0.8812 0.5987
As 0.4112 0.4112 0.7484
As 0.5888 0.5888 0.2516
Rh 0.0536 0.5534 0.1541
Rh 0.3674 0.3674 0.5779
Rh 0.4466 0.9464 0.8459
Rh 0.5000 0.5000 0.0000
Rh 0.5534 0.0536 0.1541
Rh 0.6326 0.6326 0.4221
Rh 0.9464 0.4466 0.8459

The 10 most intense peaks (2θ from 5° to 70°), in order of falling intensity:
2θ (°)	Rel. int.
6.16	100
45.78	68
37.20	62
36.20	56
31.15	48
34.98	47
34.37	33
12.33	32
44.15	31
45.97	28



For Sr2AsRh, a DFT-relaxed cell (PBE, Alexandria) gives the calculated XRD peak list in this record (a wavelength of 1.5418 Å).
Neutral-atom scattering factors, no anomalous dispersion.

Structural model:
abc: 5.7106 4.5806 8.7029
angles: 90.00 102.30 90.00
Element x y z (fractional)
Sr 0.2099 0.2500 0.4298
Sr 0.2778 0.7500 0.0740
Sr 0.7222 0.2500 0.9260
Sr 0.7901 0.7500 0.5702
As 0.3286 0.7500 0.7258
As 0.6714 0.2500 0.2742
Rh 0.1833 0.2500 0.7712
Rh 0.8167 0.7500 0.2288

The 10 most intense peaks (2θ from 5° to 70°), in order of falling intensity:
2θ (°)	Rel. int.
28.62	100
38.57	39
32.23	38
32.08	37
39.34	37
39.86	34
56.79	30
37.76	30
17.05	29
37.89	29



For Sr6As19Rh30, a DFT-relaxed cell (PBE, Alexandria) gives the calculated XRD peak list in this record (a wavelength of 1.5418 Å).
Neutral-atom scattering factors, no anomalous dispersion.

Structural model:
abc: 16.3340 16.3340 3.9643
angles: 90.00 90.00 120.00
Element x y z (fractional)
Sr 0.0367 0.2732 0.0000
Sr 0.2365 0.9633 0.0000
Sr 0.4301 0.3700 0.4998
Sr 0.6300 0.0601 0.4998
Sr 0.7268 0.7635 0.0000
Sr 0.9399 0.5699 0.4998
As 0.0158 0.1162 0.4992
As 0.0781 0.5497 0.9990
As 0.1004 0.9842 0.4992
As 0.1952 0.4115 0.5007
As 0.2163 0.8048 0.5007
As 0.2703 0.2332 0.9993
As 0.3333 0.6667 0.2474
As 0.3964 0.1001 0.5006
As 0.4503 0.5284 0.9990
As 0.4716 0.9219 0.9990
As 0.5663 0.3491 0.0007
As 0.5885 0.7837 0.5007
As 0.6509 0.2172 0.0007
As 0.7038 0.6036 0.5006
As 0.7668 0.0371 0.9993
As 0.7828 0.4337 0.0007
As 0.8838 0.8996 0.4992
As 0.8999 0.2962 0.5006
As 0.9629 0.7297 0.9993
Rh 0.0579 0.4412 0.5015
Rh 0.0698 0.8190 0.4985
Rh 0.1081 0.0935 0.9985
Rh 0.1078 0.7165 0.9982
Rh 0.1810 0.2508 0.4985
Rh 0.1843 0.6420 0.5008
Rh 0.2088 0.5174 0.9987
Rh 0.2597 0.1303 0.4996
Rh 0.2835 0.3913 0.9982
Rh 0.3086 0.7912 0.9987
Rh 0.3580 0.5423 0.5008
Rh 0.3833 0.9421 0.5015
Rh 0.4070 0.2030 0.0003
Rh 0.4577 0.8157 0.5008
Rh 0.4826 0.6914 0.9987
Rh 0.4857 0.0826 0.0014
Rh 0.5585 0.2398 0.5015
Rh 0.5588 0.6167 0.5015
Rh 0.5968 0.5143 0.0014
Rh 0.6087 0.8922 0.9982
Rh 0.6812 0.4415 0.5015
Rh 0.7492 0.9302 0.4985
Rh 0.7602 0.3188 0.5015
Rh 0.7960 0.5930 0.0003
Rh 0.7970 0.2040 0.0003
Rh 0.8697 0.1294 0.4996
Rh 0.8706 0.7403 0.4996
Rh 0.9065 0.0146 0.9985
Rh 0.9174 0.4032 0.0014
Rh 0.9854 0.8919 0.9985

The 10 most intense peaks (2θ from 5° to 70°), in order of falling intensity:
2θ (°)	Rel. int.
35.76	100
45.78	27
48.59	27
44.72	21
68.97	17
46.16	16
44.85	13
16.58	12
33.97	10
39.80	9



For TbAs2Rh5, a DFT-relaxed cell (PBE, Alexandria) gives the calculated XRD peak list in this record (a wavelength of 1.5418 Å).
Neutral-atom scattering factors, no anomalous dispersion.

Structural model:
abc: 6.2946 6.2946 6.2946
angles: 143.89 112.22 79.28
Element x y z (fractional)
Tb 0.0000 0.0000 0.0000
As 0.2524 0.7524 0.5000
As 0.7476 0.2476 0.5000
Rh 0.1577 0.3562 0.8014
Rh 0.4452 0.6438 0.8014
Rh 0.5000 0.0000 0.5000
Rh 0.5548 0.3562 0.1986
Rh 0.8423 0.6438 0.1986

The 10 most intense peaks (2θ from 5° to 70°), in order of falling intensity:
2θ (°)	Rel. int.
35.63	100
36.09	88
45.48	57
46.55	37
67.11	35
45.19	23
32.09	18
49.14	15
39.63	12
30.45	11



For TeAsRh, a DFT-relaxed cell (PBE, Alexandria) gives the calculated XRD peak list in this record (a wavelength of 1.5418 Å).
Neutral-atom scattering factors, no anomalous dispersion.

Structural model:
abc: 6.2392 6.2392 6.2392
angles: 90.00 90.00 90.00
Element x y z (fractional)
Te 0.1228 0.1228 0.1228
Te 0.3772 0.8772 0.6228
Te 0.6228 0.3772 0.8772
Te 0.8772 0.6228 0.3772
As 0.1227 0.3773 0.6227
As 0.3773 0.6227 0.1227
As 0.6227 0.1227 0.3773
As 0.8773 0.8773 0.8773
Rh 0.0111 0.5111 0.9889
Rh 0.4889 0.4889 0.4889
Rh 0.5111 0.9889 0.0111
Rh 0.9889 0.0111 0.5111

The 10 most intense peaks (2θ from 5° to 70°), in order of falling intensity:
2θ (°)	Rel. int.
32.08	100
48.38	87
35.23	74
55.07	42
28.61	38
40.91	25
52.91	24
68.97	21
50.68	11
67.09	10



For TeAsRh2, a DFT-relaxed cell (PBE, Alexandria) gives the calculated XRD peak list in this record (a wavelength of 1.5418 Å).
Neutral-atom scattering factors, no anomalous dispersion.

Structural model:
abc: 4.4252 4.4252 5.5003
angles: 97.60 97.60 46.27
Element x y z (fractional)
Te 0.0000 0.0000 0.0000
As 0.2084 0.2084 0.5464
Rh 0.5041 0.5041 0.6039
Rh 0.7296 0.7296 0.2400

The 10 most intense peaks (2θ from 5° to 70°), in order of falling intensity:
2θ (°)	Rel. int.
33.34	100
43.94	69
42.40	46
45.02	37
29.43	30
25.55	24
52.64	23
31.67	22
37.12	20
47.68	20



For Th3As4Rh7, a DFT-relaxed cell (PBE, Alexandria) gives the calculated XRD peak list in this record (a wavelength of 1.5418 Å).
Neutral-atom scattering factors, no anomalous dispersion.

Structural model:
abc: 8.1694 8.1694 9.6551
angles: 125.03 125.03 29.25
Element x y z (fractional)
Th 0.0000 0.0000 0.0000
Th 0.3288 0.3288 0.3345
Th 0.6712 0.6712 0.6655
As 0.1082 0.1082 0.8320
As 0.3399 0.3399 0.7356
As 0.6601 0.6601 0.2644
As 0.8918 0.8918 0.1680
Rh 0.0000 0.0000 0.5000
Rh 0.1700 0.1700 0.4286
Rh 0.3002 0.3002 0.9576
Rh 0.4922 0.4922 0.7154
Rh 0.5078 0.5078 0.2846
Rh 0.6998 0.6998 0.0424
Rh 0.8300 0.8300 0.5714

The 10 most intense peaks (2θ from 5° to 70°), in order of falling intensity:
2θ (°)	Rel. int.
35.36	100
35.85	44
43.89	32
30.22	20
42.63	18
37.26	15
66.60	14
62.84	11
38.42	10
23.45	10



For Th2AsRh3, a DFT-relaxed cell (PBE, Alexandria) gives the calculated XRD peak list in this record (a wavelength of 1.5418 Å).
Neutral-atom scattering factors, no anomalous dispersion.

Structural model:
abc: 8.8132 8.6223 5.7508
angles: 72.55 68.96 38.50
Element x y z (fractional)
Th 0.2485 0.7515 0.7515
Th 0.2500 0.2500 0.2500
Th 0.7500 0.7500 0.7500
Th 0.7515 0.2485 0.2485
As 0.3357 0.3357 0.6643
As 0.6643 0.6643 0.3357
Rh 0.1682 0.6630 0.3370
Rh 0.1764 0.1764 0.8236
Rh 0.3370 0.8318 0.1682
Rh 0.6630 0.1682 0.8318
Rh 0.8236 0.8236 0.1764
Rh 0.8318 0.3370 0.6630

The 10 most intense peaks (2θ from 5° to 70°), in order of falling intensity:
2θ (°)	Rel. int.
33.41	100
32.85	49
40.99	47
64.21	27
54.63	23
42.37	22
47.13	17
53.11	17
23.84	16
65.22	13



For ThAs2Rh4, a DFT-relaxed cell (PBE, Alexandria) gives the calculated XRD peak list in this record (a wavelength of 1.5418 Å).
Neutral-atom scattering factors, no anomalous dispersion.

Structural model:
abc: 16.9925 4.1642 6.8152
angles: 90.00 90.00 90.00
Element x y z (fractional)
Th 0.1421 0.2500 0.0281
Th 0.3579 0.7500 0.5281
Th 0.6421 0.2500 0.4719
Th 0.8579 0.7500 0.9719
As 0.0374 0.7500 0.2584
As 0.2072 0.2500 0.5831
As 0.2928 0.7500 0.0831
As 0.4626 0.2500 0.7584
As 0.5374 0.7500 0.2416
As 0.7072 0.2500 0.9169
As 0.7928 0.7500 0.4169
As 0.9626 0.2500 0.7416
Rh 0.0304 0.7500 0.8670
Rh 0.0656 0.2500 0.4966
Rh 0.1750 0.7500 0.3720
Rh 0.2145 0.7500 0.7778
Rh 0.2855 0.2500 0.2778
Rh 0.3250 0.2500 0.8720
Rh 0.4344 0.7500 0.9966
Rh 0.4696 0.2500 0.3670
Rh 0.5304 0.7500 0.6330
Rh 0.5656 0.2500 0.0034
Rh 0.6750 0.7500 0.1280
Rh 0.7145 0.7500 0.7222
Rh 0.7855 0.2500 0.2222
Rh 0.8250 0.2500 0.6280
Rh 0.9344 0.7500 0.5034
Rh 0.9696 0.2500 0.1330

The 10 most intense peaks (2θ from 5° to 70°), in order of falling intensity:
2θ (°)	Rel. int.
36.59	100
35.65	85
43.46	68
34.41	33
39.40	30
33.72	28
38.44	27
46.79	23
60.10	18
42.89	17



For Th3As2Rh9, a DFT-relaxed cell (PBE, Alexandria) gives the calculated XRD peak list in this record (a wavelength of 1.5418 Å).
Neutral-atom scattering factors, no anomalous dispersion.

Structural model:
abc: 6.4692 6.4692 7.1146
angles: 90.00 90.00 120.00
Element x y z (fractional)
Th 0.0000 0.0000 0.0000
Th 0.3333 0.6667 0.3364
Th 0.6667 0.3333 0.6636
As 0.3333 0.6667 0.7823
As 0.6667 0.3333 0.2177
Rh 0.0000 0.5000 0.0000
Rh 0.1419 0.2837 0.6600
Rh 0.1419 0.8581 0.6600
Rh 0.2837 0.1419 0.3400
Rh 0.5000 0.0000 0.0000
Rh 0.5000 0.5000 0.0000
Rh 0.7163 0.8581 0.6600
Rh 0.8581 0.1419 0.3400
Rh 0.8581 0.7163 0.3400

The 10 most intense peaks (2θ from 5° to 70°), in order of falling intensity:
2θ (°)	Rel. int.
34.41	100
41.01	86
56.94	30
37.94	29
27.58	26
61.78	23
29.75	17
68.25	11
50.14	10
44.65	8



For TmTh2As2Rh7, a DFT-relaxed cell (PBE, Alexandria) gives the calculated XRD peak list in this record (a wavelength of 1.5418 Å).
Neutral-atom scattering factors, no anomalous dispersion.

Structural model:
abc: 4.0735 4.0735 13.4632
angles: 96.28 96.28 89.48
Element x y z (fractional)
Tm 0.0000 0.0000 0.0000
Th 0.1185 0.1185 0.3475
Th 0.8815 0.8815 0.6525
As 0.4106 0.4106 0.7476
As 0.5894 0.5894 0.2524
Rh 0.0547 0.5552 0.1549
Rh 0.3386 0.3386 0.5646
Rh 0.4448 0.9453 0.8451
Rh 0.5000 0.5000 0.0000
Rh 0.5552 0.0547 0.1549
Rh 0.6614 0.6614 0.4354
Rh 0.9453 0.4448 0.8451

The 10 most intense peaks (2θ from 5° to 70°), in order of falling intensity:
2θ (°)	Rel. int.
37.35	100
44.53	96
36.05	56
36.79	44
44.39	39
31.19	32
34.62	32
28.18	31
38.22	30
38.41	25